# 1
For Ac6Ni, DFT lattice parameters and positions (PBE) gives the theoretical powder diffractogram in this record (CuKα).
Neutral-atom scattering factors, no anomalous dispersion.

The 10 most intense peaks (10 to 90 degrees two-theta), by angle:
two_theta, I (rel.)
26.08, 38
26.98, 32
28.62, 100
32.46, 29
42.69, 13
44.39, 20
48.69, 25
52.68, 30
53.60, 11
73.75, 13

Cell and atoms:
a = 13.220 Å, b = 12.274 Å, c = 7.064 Å
α = 90.00°, β = 90.00°, γ = 90.00°
Element x y z (fractional)
Ac  0.004  0.074  0.246
Ac  0.004  0.426  0.246
Ac  0.005  0.250  0.765
Ac  0.245  0.250  0.407
Ac  0.250  0.086  0.918
Ac  0.250  0.414  0.918
Ac  0.250  0.586  0.418
Ac  0.250  0.914  0.418
Ac  0.255  0.750  0.907
Ac  0.495  0.750  0.265
Ac  0.496  0.574  0.746
Ac  0.496  0.926  0.746
Ac  0.504  0.074  0.254
Ac  0.504  0.426  0.254
Ac  0.505  0.250  0.735
Ac  0.745  0.250  0.093
Ac  0.750  0.086  0.582
Ac  0.750  0.414  0.582
Ac  0.750  0.586  0.082
Ac  0.750  0.914  0.082
Ac  0.755  0.750  0.593
Ac  0.995  0.750  0.235
Ac  0.996  0.574  0.754
Ac  0.996  0.926  0.754
Ni  0.112  0.750  0.587
Ni  0.388  0.250  0.087
Ni  0.612  0.750  0.913
Ni  0.888  0.250  0.413

***

# 2
For Ac3Ni2, DFT lattice parameters and positions (PBE) gives the theoretical powder diffractogram in this record (CuKα).
Neutral-atom scattering factors, no anomalous dispersion.

The 10 most intense peaks (10 to 90 degrees two-theta), by angle:
two_theta, I (rel.)
25.82, 79
29.60, 100
31.98, 56
33.99, 26
35.06, 26
38.54, 30
41.55, 26
50.91, 31
51.14, 22
51.98, 25

Cell and atoms:
a = 4.672 Å, b = 15.355 Å, c = 4.090 Å
α = 90.00°, β = 90.00°, γ = 90.00°
Element x y z (fractional)
Ac  0.000  0.000  0.000
Ac  0.000  0.346  0.500
Ac  0.000  0.654  0.500
Ac  0.500  0.154  0.500
Ac  0.500  0.500  0.000
Ac  0.500  0.846  0.500
Ni  0.000  0.201  0.000
Ni  0.000  0.799  0.000
Ni  0.500  0.299  0.000
Ni  0.500  0.701  0.000

***

# 3
For Ac4Ni3, DFT lattice parameters and positions (PBE) gives the theoretical powder diffractogram in this record (CuKα).
Neutral-atom scattering factors, no anomalous dispersion.

The 10 most intense peaks (10 to 90 degrees two-theta), by angle:
two_theta, I (rel.)
25.32, 57
26.39, 100
26.88, 43
29.20, 41
29.64, 57
32.25, 32
36.88, 71
43.29, 32
47.78, 31
51.70, 33

Cell and atoms:
a = 15.206 Å, b = 4.180 Å, c = 6.724 Å
α = 90.00°, β = 99.39°, γ = 90.00°
Element x y z (fractional)
Ac  0.088  0.000  0.279
Ac  0.160  0.500  0.800
Ac  0.340  0.000  0.200
Ac  0.412  0.500  0.721
Ac  0.588  0.500  0.279
Ac  0.660  0.000  0.800
Ac  0.840  0.500  0.200
Ac  0.912  0.000  0.721
Ni  0.000  0.500  0.000
Ni  0.238  0.500  0.397
Ni  0.262  0.000  0.603
Ni  0.500  0.000  0.000
Ni  0.738  0.000  0.397
Ni  0.762  0.500  0.603

***

# 4
For AcNi4, DFT lattice parameters and positions (PBE) gives the theoretical powder diffractogram in this record (CuKα).
Neutral-atom scattering factors, no anomalous dispersion.

The 10 most intense peaks (10 to 90 degrees two-theta), by angle:
two_theta, I (rel.)
20.55, 27
29.23, 100
36.00, 100
39.00, 51
41.81, 36
44.48, 69
47.02, 39
54.11, 22
60.61, 22
66.72, 36

Cell and atoms:
a = 7.484 Å, b = 7.484 Å, c = 7.484 Å
α = 109.47°, β = 109.47°, γ = 109.47°
Element x y z (fractional)
Ac  0.000  0.000  0.548
Ac  0.000  0.548  0.000
Ac  0.452  0.452  0.452
Ac  0.548  0.000  0.000
Ni  0.000  0.000  0.192
Ni  0.000  0.192  0.000
Ni  0.000  0.357  0.357
Ni  0.000  0.643  0.643
Ni  0.192  0.000  0.000
Ni  0.250  0.500  0.750
Ni  0.250  0.750  0.500
Ni  0.357  0.000  0.357
Ni  0.357  0.357  0.000
Ni  0.500  0.250  0.750
Ni  0.500  0.750  0.250
Ni  0.643  0.000  0.643
Ni  0.643  0.643  0.000
Ni  0.750  0.250  0.500
Ni  0.750  0.500  0.250
Ni  0.808  0.808  0.808